1.
This entry pairs a crystal structure of In4H2I5 with its simulated powder diffractogram. Radiation: Cu Ka. Structure: a PBE-relaxed structure.
Intensities are scaled so that the largest is 100.

Top 10 peaks for 10 to 90 degrees two-theta, sorted by position:
d_spacing  2theta  I (rel.)
8.123  10.9  28.5
3.561  25.0  27.7
3.527  25.3  31.5
3.334  26.7  100.0
3.046  29.3  93.5
3.020  29.6  83.7
2.741  32.7  29.0
2.333  38.6  36.3
2.312  38.9  34.8
2.174  41.5  83.2

Crystal structure
```
In4H2I5
1.0
4.352 0.000 0.000
-0.076 8.496 0.000
-2.097 -3.065 10.003
In H I
4 2 5
direct
0.022 0.304 0.033
0.335 0.446 0.675
0.665 0.554 0.325
0.978 0.696 0.967
0.424 0.562 0.856
0.576 0.438 0.144
0.159 0.797 0.302
0.181 0.301 0.366
0.500 0.000 0.000
0.819 0.699 0.634
0.841 0.203 0.698
```

2.
This entry pairs a crystal structure of InH2I2 with its simulated powder diffractogram. Radiation: Cu Ka. Structure: a PBE-relaxed structure.
Intensities are scaled so that the largest is 100.

Top 10 peaks for 10 to 90 degrees two-theta, sorted by position:
d_spacing  2theta  I (rel.)
5.615  15.8  49.7
3.986  22.3  32.9
3.462  25.7  71.1
3.210  27.8  30.7
3.198  27.9  31.3
3.066  29.1  100.0
2.665  33.6  20.7
2.380  37.8  26.9
2.240  40.3  18.6
2.166  41.7  30.5

Crystal structure
```
InH2I2
1.0
4.760 0.000 0.000
0.000 8.312 0.000
-2.348 0.000 7.615
In H I
2 4 4
direct
0.112 0.000 0.223
0.888 0.500 0.777
0.016 0.130 0.031
0.430 0.780 0.857
0.570 0.280 0.143
0.984 0.630 0.969
0.314 0.765 0.623
0.432 0.271 0.864
0.568 0.771 0.136
0.686 0.265 0.377
```

Repeat the first record exactly.
This entry pairs a crystal structure of In4H2I5 with its simulated powder diffractogram. Radiation: Cu Ka. Structure: a PBE-relaxed structure.
Intensities are scaled so that the largest is 100.

Top 10 peaks for 10 to 90 degrees two-theta, sorted by position:
d_spacing  2theta  I (rel.)
8.123  10.9  28.5
3.561  25.0  27.7
3.527  25.3  31.5
3.334  26.7  100.0
3.046  29.3  93.5
3.020  29.6  83.7
2.741  32.7  29.0
2.333  38.6  36.3
2.312  38.9  34.8
2.174  41.5  83.2

Crystal structure
```
In4H2I5
1.0
4.352 0.000 0.000
-0.076 8.496 0.000
-2.097 -3.065 10.003
In H I
4 2 5
direct
0.022 0.304 0.033
0.335 0.446 0.675
0.665 0.554 0.325
0.978 0.696 0.967
0.424 0.562 0.856
0.576 0.438 0.144
0.159 0.797 0.302
0.181 0.301 0.366
0.500 0.000 0.000
0.819 0.699 0.634
0.841 0.203 0.698
```